Starting from a cell relaxed with GGA-PBE, the powder XRD pattern of CsTh2P3O12 was simulated for copper Kα.

Peak list (8 most intense, 2θ from 10° to 80°, sorted by position)
2θ/deg	intensity
18.2	45
19.7	83
25.0	37
26.3	70
26.4	40
27.0	31
28.6	100
30.4	49

Structure:
```
CsTh2P3O12
1.0
9.080 -3.514 0.000
9.080 3.514 0.000
-1.920 0.000 8.034
Cs Th P O
2 4 6 24
direct
0.090 0.910 0.750
0.910 0.090 0.250
0.252 0.438 0.968
0.438 0.252 0.468
0.562 0.748 0.532
0.748 0.562 0.032
0.102 0.285 0.680
0.285 0.102 0.180
0.409 0.591 0.250
0.591 0.409 0.750
0.715 0.898 0.820
0.898 0.715 0.320
0.053 0.358 0.868
0.054 0.242 0.145
0.101 0.588 0.431
0.223 0.331 0.670
0.242 0.054 0.645
0.263 0.680 0.089
0.320 0.737 0.411
0.331 0.223 0.170
0.358 0.053 0.368
0.399 0.457 0.758
0.412 0.899 0.069
0.457 0.399 0.258
0.543 0.601 0.742
0.588 0.101 0.931
0.601 0.543 0.242
0.642 0.947 0.632
0.669 0.777 0.830
0.680 0.263 0.589
0.737 0.320 0.911
0.758 0.946 0.355
0.777 0.669 0.330
0.899 0.412 0.569
0.946 0.758 0.855
0.947 0.642 0.132
```



Starting from a cell relaxed with GGA-PBE, the powder XRD pattern of Sr7Y6OF30 was simulated for copper Kα.

Peak list (8 most intense, 2θ from 10° to 80°, sorted by position)
2θ/deg	intensity
26.7	35
26.9	100
31.1	45
44.4	50
44.7	49
52.6	20
52.8	52
64.8	12

Structure:
```
Sr7Y6OF30
1.0
7.315 4.223 3.336
-7.315 4.223 3.336
0.000 -8.447 3.336
Sr Y O F
7 6 1 30
direct
0.000 0.000 0.000
0.114 0.700 0.251
0.251 0.114 0.700
0.334 0.779 0.927
0.700 0.251 0.114
0.779 0.927 0.334
0.927 0.334 0.779
0.176 0.385 0.456
0.385 0.456 0.176
0.456 0.176 0.385
0.554 0.886 0.636
0.636 0.554 0.886
0.886 0.636 0.554
0.408 0.408 0.408
0.006 0.833 0.464
0.020 0.197 0.568
0.072 0.537 0.675
0.109 0.871 0.789
0.135 0.405 0.202
0.147 0.228 0.915
0.197 0.568 0.020
0.202 0.135 0.405
0.228 0.915 0.147
0.301 0.679 0.564
0.351 0.454 0.727
0.359 0.964 0.497
0.405 0.202 0.135
0.454 0.727 0.351
0.464 0.006 0.833
0.497 0.359 0.964
0.537 0.675 0.072
0.564 0.301 0.679
0.568 0.020 0.197
0.615 0.778 0.832
0.675 0.072 0.537
0.679 0.564 0.301
0.727 0.351 0.454
0.778 0.832 0.615
0.789 0.109 0.871
0.832 0.615 0.778
0.833 0.464 0.006
0.871 0.789 0.109
0.915 0.147 0.228
0.964 0.497 0.359
```



Starting from a cell relaxed with GGA-PBE, the powder XRD pattern of La3Si3Ni was simulated for copper Kα.

Peak list (8 most intense, 2θ from 10° to 80°, sorted by position)
2θ/deg	intensity
26.3	52
31.5	100
31.9	60
35.9	23
41.1	41
50.2	26
55.7	24
59.5	23

Structure:
```
La3Si3Ni
1.0
-2.042 2.194 9.130
2.042 -2.194 9.130
2.042 2.194 -9.130
La Si Ni
3 3 1
direct
0.000 0.000 0.000
0.180 0.680 0.500
0.365 0.365 0.000
0.548 0.548 0.000
0.741 0.241 0.500
0.818 0.818 0.000
0.616 0.116 0.500
```